Starting from a structure optimized by DFT (PBE), the X-ray diffraction stick pattern of Pr2Dy4Tm was computed for Cu Ka.

Peak list (10 most intense, 10 to 80 degrees two-theta, low angle first)
Position (°2θ)	d (Å)	I/Imax	(hkl)
29.73	3.005	258	4 0 -4
30.05	2.974	1000	2 0 -6
30.89	2.895	368	3 1 -1
31.01	2.884	356	1 1 -4
31.46	2.843	826	3 1 -2
32.16	2.783	271	3 1 1
32.69	2.740	779	1 1 4
48.86	1.864	274	0 2 0
54.62	1.680	188	7 1 1
58.43	1.579	331	2 2 -6

```
data_Pr2Dy4Tm
_cell_length_a 13.8013
_cell_length_b 3.7283
_cell_length_c 18.3755
_cell_angle_alpha 90.00
_cell_angle_beta 101.43
_cell_angle_gamma 90.00
_symmetry_space_group_name_H-M 'C 1 2/m 1'
_symmetry_Int_Tables_number 12
loop_
_symmetry_equiv_pos_as_xyz
'x,y,z'
'-x,-y,-z'
'-x,y,-z'
'x,-y,z'
'x+1/2,y+1/2,z'
'-x+1/2,-y+1/2,-z'
'-x+1/2,y+1/2,-z'
'x+1/2,-y+1/2,z'
loop_
_atom_site_label
_atom_site_type_symbol
_atom_site_fract_x
_atom_site_fract_y
_atom_site_fract_z
Pr1 Pr 0.0929 0.0000 0.3561
Pr2 Pr 0.1576 0.5000 0.1800
Dy1 Dy 0.0474 0.0000 0.8219
Dy2 Dy 0.1423 0.5000 0.6997
Dy3 Dy 0.1993 0.0000 0.5564
Dy4 Dy 0.2113 0.5000 0.9281
Tm1 Tm 0.0000 0.0000 0.0000
Tm2 Tm 0.0000 0.5000 0.5000
```

Starting from a structure optimized by DFT (PBE), the X-ray diffraction stick pattern of Ac4Pm6Pb7 was computed for Cu Ka.

Peak list (10 most intense, 10 to 80 degrees two-theta, low angle first)
Position (°2θ)	d (Å)	I/Imax	(hkl)
23.96	3.715	86	2 2 0
29.45	3.033	1000	2 2 2
31.87	2.808	192	3 2 1
34.13	2.627	669	4 0 0
40.26	2.240	136	3 3 2
49.05	1.857	430	4 4 0
58.25	1.584	350	6 2 2
61.11	1.517	130	4 4 4
65.26	1.430	92	6 3 3
79.53	1.205	109	6 6 2

```
data_Ac4Pm6Pb7
_cell_length_a 10.5069
_cell_length_b 10.5069
_cell_length_c 10.5069
_cell_angle_alpha 90.00
_cell_angle_beta 90.00
_cell_angle_gamma 90.00
_symmetry_space_group_name_H-M 'I m -3 m'
_symmetry_Int_Tables_number 229
_symmetry_space_group_name_Hall '-I 4 2 3'
loop_
_atom_site_label
_atom_site_type_symbol
_atom_site_fract_x
_atom_site_fract_y
_atom_site_fract_z
Ac1 Ac 0.2500 0.2500 0.2500
Pm1 Pm 0.0000 0.0000 0.2990
Pb1 Pb 0.0000 0.0000 0.0000
Pb2 Pb 0.0000 0.2500 0.5000
```

Starting from a structure optimized by DFT (PBE), the X-ray diffraction stick pattern of LaAlCuNi6 was computed for Cu Ka.

Peak list (10 most intense, 10 to 80 degrees two-theta, low angle first)
Position (°2θ)	d (Å)	I/Imax	(hkl)
29.93	2.985	319	0 1 3
31.22	2.865	648	2 1 1
34.84	2.575	905	2 2 0
37.80	2.380	427	1 2 3
41.35	2.183	719	2 1 3
41.68	2.167	884	0 4 0
43.29	2.090	1000	0 2 4
47.54	1.913	276	2 0 4
51.38	1.778	504	2 3 3
61.78	1.502	234	4 2 0

```
data_LaAlCuNi6
_cell_length_a 6.4029
_cell_length_b 8.6681
_cell_length_c 9.5393
_cell_angle_alpha 90.00
_cell_angle_beta 90.00
_cell_angle_gamma 90.00
_symmetry_space_group_name_H-M 'I m m a'
_symmetry_Int_Tables_number 74
_symmetry_space_group_name_Hall '-I 2b 2'
loop_
_atom_site_label
_atom_site_type_symbol
_atom_site_fract_x
_atom_site_fract_y
_atom_site_fract_z
La1 La 0.0000 0.2500 0.2347
Al1 Al 0.0000 0.0000 0.0000
Cu1 Cu 0.2500 0.2500 0.7500
Ni1 Ni 0.0000 0.2500 0.5217
Ni2 Ni 0.0000 0.2500 0.9264
Ni3 Ni 0.1854 0.0152 0.6279
```

Starting from a structure optimized by DFT (PBE), the X-ray diffraction stick pattern of TlAg2TeBr8 was computed for Cu Ka.

Peak list (10 most intense, 10 to 80 degrees two-theta, low angle first)
Position (°2θ)	d (Å)	I/Imax	(hkl)
17.84	4.971	1000	1 -1 0
19.04	4.660	744	1 1 0
23.19	3.836	271	1 0 -2
27.11	3.289	853	1 -1 2
29.89	2.989	356	1 2 0
34.69	2.586	535	-2 1 2
36.14	2.485	394	2 -2 0
41.16	2.193	350	0 0 4
42.74	2.116	258	0 3 -2
46.20	1.965	298	0 3 2

```
data_TlAg2TeBr8
_cell_length_a 6.7462
_cell_length_b 6.9350
_cell_length_c 8.8417
_cell_angle_alpha 94.84
_cell_angle_beta 94.96
_cell_angle_gamma 93.25
_symmetry_space_group_name_H-M 'P -1'
_symmetry_Int_Tables_number 2
loop_
_symmetry_equiv_pos_as_xyz
'x,y,z'
'-x,-y,-z'
loop_
_atom_site_label
_atom_site_type_symbol
_atom_site_fract_x
_atom_site_fract_y
_atom_site_fract_z
Tl1 Tl 0.0000 0.0000 0.0000
Ag1 Ag 0.4517 0.4519 0.7703
Te1 Te 0.0000 0.0000 0.5000
Br1 Br 0.2007 0.8041 0.2825
Br2 Br 0.2352 0.8419 0.7210
Br3 Br 0.2699 0.3171 0.5032
Br4 Br 0.3053 0.3262 0.0263
```

Starting from a structure optimized by DFT (PBE), the X-ray diffraction stick pattern of La6FeIr2Br3 was computed for Cu Ka.

Peak list (10 most intense, 10 to 80 degrees two-theta, low angle first)
Position (°2θ)	d (Å)	I/Imax	(hkl)
11.20	7.900	331	0 0 1
29.01	3.078	1000	1 3 1
36.42	2.467	171	1 3 2
39.38	2.288	299	2 0 2
43.52	2.079	368	0 6 0
45.08	2.011	68	3 3 0
49.28	1.849	111	2 0 3
53.16	1.723	180	4 0 0
71.05	1.327	147	5 3 -3
77.10	1.237	80	4 6 -4

```
data_La6FeIr2Br3
_cell_length_a 7.2022
_cell_length_b 12.4793
_cell_length_c 8.2549
_cell_angle_alpha 90.00
_cell_angle_beta 106.86
_cell_angle_gamma 90.00
_symmetry_space_group_name_H-M 'C 1 2/m 1'
_symmetry_Int_Tables_number 12
loop_
_symmetry_equiv_pos_as_xyz
'x,y,z'
'-x,-y,-z'
'-x,y,-z'
'x,-y,z'
'x+1/2,y+1/2,z'
'-x+1/2,-y+1/2,-z'
'-x+1/2,y+1/2,-z'
'x+1/2,-y+1/2,z'
loop_
_atom_site_label
_atom_site_type_symbol
_atom_site_fract_x
_atom_site_fract_y
_atom_site_fract_z
La1 La 0.2253 0.1607 0.1938
La2 La 0.2430 0.5000 0.1937
Fe1 Fe 0.0000 0.0000 0.0000
Ir1 Ir 0.0000 0.3331 0.0000
Br1 Br 0.0000 0.1649 0.5000
Br2 Br 0.0000 0.5000 0.5000
```

Starting from a structure optimized by DFT (PBE), the X-ray diffraction stick pattern of Pr2HoRhO6 was computed for Cu Ka.

Peak list (10 most intense, 10 to 80 degrees two-theta, low angle first)
Position (°2θ)	d (Å)	I/Imax	(hkl)
29.98	2.981	418	0 2 0
30.57	2.924	1000	1 1 1
31.18	2.869	964	1 1 -3
31.54	2.837	451	2 0 -2
44.07	2.055	376	2 2 -2
44.39	2.041	249	0 0 4
54.49	1.684	190	0 2 4
54.70	1.678	119	2 0 2
55.17	1.665	213	3 1 -1
56.28	1.635	312	3 1 -5

```
data_Pr2HoRhO6
_cell_length_a 5.6759
_cell_length_b 5.9616
_cell_length_c 9.8205
_cell_angle_alpha 90.00
_cell_angle_beta 123.77
_cell_angle_gamma 90.00
_symmetry_space_group_name_H-M 'P 1 21/c 1'
_symmetry_Int_Tables_number 14
loop_
_symmetry_equiv_pos_as_xyz
'x,y,z'
'-x,-y,-z'
'-x,y+1/2,-z+1/2'
'x,-y+1/2,z+1/2'
loop_
_atom_site_label
_atom_site_type_symbol
_atom_site_fract_x
_atom_site_fract_y
_atom_site_fract_z
Pr1 Pr 0.2275 0.0619 0.2490
Ho1 Ho 0.5000 0.0000 0.0000
Rh1 Rh 0.0000 0.0000 0.5000
O1 O 0.1270 0.2059 0.9402
O2 O 0.2357 0.6958 0.9405
O3 O 0.3568 0.0451 0.7393
```

Starting from a structure optimized by DFT (PBE), the X-ray diffraction stick pattern of PmCrH6 was computed for Cu Ka.

Peak list (10 most intense, 10 to 80 degrees two-theta, low angle first)
Position (°2θ)	d (Å)	I/Imax	(hkl)
21.65	4.105	394	1 0 1
28.47	3.135	1000	1 1 0
32.99	2.715	665	0 1 2
44.12	2.052	293	2 0 2
46.56	1.951	125	2 1 1
50.41	1.810	194	3 0 0
53.35	1.717	347	1 2 2
58.91	1.568	124	2 2 0
69.20	1.358	222	3 1 2
76.46	1.246	171	2 1 4

```
data_PmCrH6
_cell_length_a 6.2710
_cell_length_b 6.2710
_cell_length_c 6.2696
_cell_angle_alpha 90.00
_cell_angle_beta 90.00
_cell_angle_gamma 120.00
_symmetry_space_group_name_H-M 'R -3 m'
_symmetry_Int_Tables_number 166
_symmetry_space_group_name_Hall '-R 3 2"'
loop_
_atom_site_label
_atom_site_type_symbol
_atom_site_fract_x
_atom_site_fract_y
_atom_site_fract_z
Pm1 Pm 0.0000 0.0000 0.0000
Cr1 Cr 0.0000 0.0000 0.5000
H1 H 0.0972 0.5486 0.3486
```

Starting from a structure optimized by DFT (PBE), the X-ray diffraction stick pattern of Pr4Al3Zn was computed for Cu Ka.

Peak list (10 most intense, 10 to 80 degrees two-theta, low angle first)
Position (°2θ)	d (Å)	I/Imax	(hkl)
10.20	8.672	15	0 0 3
19.61	4.526	9	1 0 1
23.70	3.754	404	1 0 4
33.77	2.654	1000	1 1 0
41.68	2.167	124	0 2 4
48.50	1.877	179	2 0 8
54.68	1.679	168	2 1 4
60.41	1.532	367	3 0 0
71.03	1.327	112	2 2 0
76.07	1.251	79	1 3 4

```
data_Pr4Al3Zn
_cell_length_a 5.3075
_cell_length_b 5.3075
_cell_length_c 26.0169
_cell_angle_alpha 90.00
_cell_angle_beta 90.00
_cell_angle_gamma 120.00
_symmetry_space_group_name_H-M 'R -3 m'
_symmetry_Int_Tables_number 166
_symmetry_space_group_name_Hall '-R 3 2"'
loop_
_atom_site_label
_atom_site_type_symbol
_atom_site_fract_x
_atom_site_fract_y
_atom_site_fract_z
Pr1 Pr 0.0000 0.0000 0.1233
Pr2 Pr 0.0000 0.0000 0.3734
Al1 Al 0.0000 0.0000 0.2495
Al2 Al 0.0000 0.0000 0.5000
Zn1 Zn 0.0000 0.0000 0.0000
```